Record 1
NaDyO2: computed powder XRD pattern (Cu Kα (weighted mean of Kα1 and Kα2)), based on a GGA-PBE-relaxed structure.

Cell and atoms:
```
data_NaDyO2
_symmetry_space_group_name_H-M 'C 1 2/c 1'
_symmetry_Int_Tables_number 15
_symmetry_space_group_name_Hall '-C 2yc'
_cell_length_a 6.6753
_cell_length_b 13.2952
_cell_length_c 5.9823
_cell_angle_alpha 90.00
_cell_angle_beta 122.75
_cell_angle_gamma 90.00
loop_
_atom_site_label
_atom_site_type_symbol
_atom_site_fract_x
_atom_site_fract_y
_atom_site_fract_z
Na1 Na 0.0000 0.0559 0.2500
Na2 Na 0.0000 0.1804 0.7500
Dy1 Dy 0.0000 0.3069 0.2500
Dy2 Dy 0.0000 0.4328 0.7500
O1 O 0.2057 0.4366 0.2064
O2 O 0.2285 0.3119 0.7079
```

Main lines, sorted by position (10 to 90 degrees two-theta):
17.14°, 5.172 Å, intensity 100, hkl 1 1 0
25.80°, 3.454 Å, intensity 49, hkl 1 3 -1
30.82°, 2.901 Å, intensity 18, hkl 1 1 -2
31.88°, 2.807 Å, intensity 33, hkl 2 0 0
32.28°, 2.773 Å, intensity 60, hkl 0 4 1
32.49°, 2.755 Å, intensity 30, hkl 2 0 -2
35.69°, 2.516 Å, intensity 46, hkl 0 0 2
38.22°, 2.355 Å, intensity 78, hkl 2 4 -1
52.87°, 1.732 Å, intensity 28, hkl 2 4 1
53.69°, 1.707 Å, intensity 27, hkl 2 4 -3

Record 2
Li5AlSi2O8: computed powder XRD pattern (Cu Kα (weighted mean of Kα1 and Kα2)), based on a GGA-PBE-relaxed structure.

Cell and atoms:
```
data_Li5AlSi2O8
_symmetry_space_group_name_H-M 'C 1 2 1'
_symmetry_Int_Tables_number 5
_symmetry_space_group_name_Hall 'C 2y'
_cell_length_a 7.2747
_cell_length_b 7.3331
_cell_length_c 6.3413
_cell_angle_alpha 90.00
_cell_angle_beta 90.15
_cell_angle_gamma 90.00
loop_
_atom_site_label
_atom_site_type_symbol
_atom_site_fract_x
_atom_site_fract_y
_atom_site_fract_z
Li1 Li 0.0000 0.0000 0.0000
Li2 Li 0.0000 0.0090 0.5000
Li3 Li 0.0000 0.6416 0.0000
Li4 Li 0.1896 0.3052 0.7604
Al1 Al 0.0000 0.6387 0.5000
Si1 Si 0.1759 0.3101 0.2482
O1 O 0.0276 0.1452 0.2525
O2 O 0.0471 0.5016 0.2769
O3 O 0.1854 0.7953 0.5381
O4 O 0.2014 0.8215 0.9637
```

Main lines, sorted by position (10 to 90 degrees two-theta):
13.97°, 6.341 Å, intensity 11, hkl 0 0 1
17.17°, 5.164 Å, intensity 13, hkl 1 1 0
22.19°, 4.005 Å, intensity 100, hkl 1 1 -1
24.27°, 3.667 Å, intensity 23, hkl 0 2 0
28.31°, 3.152 Å, intensity 24, hkl 2 0 1
33.15°, 2.702 Å, intensity 66, hkl 1 1 -2
34.74°, 2.582 Å, intensity 71, hkl 2 2 0
58.19°, 1.585 Å, intensity 14, hkl 0 0 4
61.22°, 1.514 Å, intensity 19, hkl 3 3 -2
61.32°, 1.512 Å, intensity 18, hkl 3 3 2

Record 3
TlI: computed powder XRD pattern (Cu Kα (weighted mean of Kα1 and Kα2)), based on a GGA-PBE-relaxed structure.

Cell and atoms:
```
data_TlI
_symmetry_space_group_name_H-M 'F m -3 m'
_symmetry_Int_Tables_number 225
_symmetry_space_group_name_Hall '-F 4 2 3'
_cell_length_a 7.1381
_cell_length_b 7.1381
_cell_length_c 7.1381
_cell_angle_alpha 90.00
_cell_angle_beta 90.00
_cell_angle_gamma 90.00
loop_
_atom_site_label
_atom_site_type_symbol
_atom_site_fract_x
_atom_site_fract_y
_atom_site_fract_z
Tl1 Tl 0.0000 0.0000 0.0000
I1 I 0.0000 0.0000 0.5000
```

Main lines, sorted by position (10 to 90 degrees two-theta):
21.56°, 4.121 Å, intensity 9, hkl 1 1 1
24.95°, 3.569 Å, intensity 100, hkl 2 0 0
35.57°, 2.524 Å, intensity 80, hkl 2 2 0
43.94°, 2.061 Å, intensity 30, hkl 2 2 2
51.19°, 1.785 Å, intensity 14, hkl 4 0 0
57.76°, 1.596 Å, intensity 40, hkl 4 2 0
63.89°, 1.457 Å, intensity 29, hkl 4 2 2
75.32°, 1.262 Å, intensity 9, hkl 4 4 0
80.78°, 1.190 Å, intensity 19, hkl 6 0 0
86.17°, 1.129 Å, intensity 13, hkl 6 2 0

Record 4
PrAl3B4O12: computed powder XRD pattern (Cu Kα (weighted mean of Kα1 and Kα2)), based on a GGA-PBE-relaxed structure.

Cell and atoms:
```
data_PrAl3B4O12
_symmetry_space_group_name_H-M 'C 1 2/c 1'
_symmetry_Int_Tables_number 15
_symmetry_space_group_name_Hall '-C 2yc'
_cell_length_a 7.3473
_cell_length_b 9.4456
_cell_length_c 11.2705
_cell_angle_alpha 90.00
_cell_angle_beta 103.69
_cell_angle_gamma 90.00
loop_
_atom_site_label
_atom_site_type_symbol
_atom_site_fract_x
_atom_site_fract_y
_atom_site_fract_z
Pr1 Pr 0.0000 0.0377 0.2500
Al1 Al 0.0000 0.4107 0.7500
Al2 Al 0.0553 0.2507 0.5284
B1 B 0.1928 0.3154 0.2221
B2 B 0.2481 0.4710 0.9941
O1 O 0.0617 0.2441 0.1368
O2 O 0.0947 0.3981 0.9254
O3 O 0.0958 0.0991 0.9396
O4 O 0.1601 0.2625 0.7054
O5 O 0.1870 0.4582 0.2429
O6 O 0.2491 0.1190 0.4957
```

Main lines, sorted by position (10 to 90 degrees two-theta):
15.56°, 5.695 Å, intensity 86, hkl 1 1 0
16.18°, 5.477 Å, intensity 51, hkl 0 0 2
20.27°, 4.382 Å, intensity 49, hkl 1 1 -2
24.92°, 3.574 Å, intensity 98, hkl 2 0 0
30.93°, 2.891 Å, intensity 27, hkl 2 2 -1
32.59°, 2.748 Å, intensity 100, hkl 2 2 -2
32.71°, 2.738 Å, intensity 61, hkl 0 0 4
37.95°, 2.371 Å, intensity 38, hkl 0 2 4
39.05°, 2.307 Å, intensity 43, hkl 3 1 0
54.33°, 1.688 Å, intensity 27, hkl 4 0 -4

Record 5
Li3Au: computed powder XRD pattern (Cu Kα (weighted mean of Kα1 and Kα2)), based on a GGA-PBE-relaxed structure.

Cell and atoms:
```
data_Li3Au
_symmetry_space_group_name_H-M 'I 4/m m m'
_symmetry_Int_Tables_number 139
_symmetry_space_group_name_Hall '-I 4 2'
_cell_length_a 4.0521
_cell_length_b 4.0521
_cell_length_c 7.6021
_cell_angle_alpha 90.00
_cell_angle_beta 90.00
_cell_angle_gamma 90.00
loop_
_atom_site_label
_atom_site_type_symbol
_atom_site_fract_x
_atom_site_fract_y
_atom_site_fract_z
Li1 Li 0.0000 0.0000 0.0000
Li2 Li 0.0000 0.5000 0.2500
Au1 Au 0.0000 0.0000 0.5000
```

Main lines, sorted by position (10 to 90 degrees two-theta):
23.40°, 3.801 Å, intensity 29, hkl 0 0 2
24.90°, 3.576 Å, intensity 100, hkl 1 0 1
31.22°, 2.865 Å, intensity 29, hkl 1 1 0
39.38°, 2.288 Å, intensity 38, hkl 1 1 2
42.05°, 2.149 Å, intensity 26, hkl 1 0 3
44.73°, 2.026 Å, intensity 13, hkl 2 0 0
51.09°, 1.788 Å, intensity 15, hkl 2 0 2
51.87°, 1.763 Å, intensity 28, hkl 2 1 1
63.07°, 1.474 Å, intensity 16, hkl 2 1 3
78.82°, 1.214 Å, intensity 10, hkl 3 1 2

Record 6
Cs3Bi2I9: computed powder XRD pattern (Cu Kα (weighted mean of Kα1 and Kα2)), based on a GGA-PBE-relaxed structure.

Cell and atoms:
```
data_Cs3Bi2I9
_symmetry_space_group_name_H-M 'C 1 2/c 1'
_symmetry_Int_Tables_number 15
_symmetry_space_group_name_Hall '-C 2yc'
_cell_length_a 8.6699
_cell_length_b 14.9693
_cell_length_c 22.0100
_cell_angle_alpha 90.00
_cell_angle_beta 91.10
_cell_angle_gamma 90.00
loop_
_atom_site_label
_atom_site_type_symbol
_atom_site_fract_x
_atom_site_fract_y
_atom_site_fract_z
Cs1 Cs 0.0000 0.0028 0.2500
Cs2 Cs 0.0014 0.3322 0.5774
Bi1 Bi 0.0112 0.3348 0.1558
I1 I 0.0000 0.4972 0.7500
I2 I 0.0202 0.1662 0.0829
I3 I 0.2307 0.0794 0.9107
I4 I 0.2308 0.4170 0.4250
I5 I 0.2477 0.2483 0.7432
```

Main lines, sorted by position (10 to 90 degrees two-theta):
12.45°, 7.110 Å, intensity 84, hkl 0 2 1
24.27°, 3.668 Å, intensity 73, hkl 0 0 6
24.95°, 3.568 Å, intensity 72, hkl 2 2 -2
25.17°, 3.538 Å, intensity 86, hkl 0 4 2
26.74°, 3.334 Å, intensity 66, hkl 0 4 3
26.88°, 3.317 Å, intensity 61, hkl 2 2 3
28.85°, 3.094 Å, intensity 57, hkl 0 4 4
29.04°, 3.075 Å, intensity 65, hkl 2 2 4
31.07°, 2.879 Å, intensity 64, hkl 2 2 -5
41.78°, 2.162 Å, intensity 100, hkl 2 6 0